# 1
Calculated powder diffraction line list of Li2FeF4 for a wavelength of 1.5418 Å, from a GGA+U-relaxed structure.

Structure:
```
Li2FeF4
1.0
8.6282 0.0000 0.0000
0.0000 8.6282 0.0000
0.0000 0.0000 6.5154
Li Fe F
8 4 16
Direct
0.2268 0.2515 0.0000
0.2485 0.2732 0.5000
0.2515 0.7732 0.5000
0.2732 0.7515 0.0000
0.7268 0.2485 0.0000
0.7485 0.2268 0.5000
0.7515 0.7268 0.5000
0.7732 0.7485 0.0000
0.0000 0.5000 0.2500
0.0000 0.5000 0.7500
0.5000 0.0000 0.2500
0.5000 0.0000 0.7500
0.1125 0.6141 0.0000
0.1141 0.6125 0.5000
0.1680 0.3320 0.2500
0.1680 0.3320 0.7500
0.3320 0.8320 0.2500
0.3320 0.8320 0.7500
0.3859 0.1125 0.5000
0.3875 0.1141 0.0000
0.6125 0.8859 0.0000
0.6141 0.8875 0.5000
0.6680 0.1680 0.2500
0.6680 0.1680 0.7500
0.8320 0.6680 0.2500
0.8320 0.6680 0.7500
0.8859 0.3875 0.5000
0.8875 0.3859 0.0000
```

Top 8 peaks for 2θ = 10–80°, sorted by position:
| 2theta | d_spacing | I (rel.) |
| --- | --- | --- |
| 14.5 | 6.101 | 100 |
| 29.3 | 3.051 | 13 |
| 31.1 | 2.874 | 7 |
| 36.1 | 2.489 | 13 |
| 43.2 | 2.092 | 11 |
| 44.6 | 2.034 | 7 |
| 55.3 | 1.660 | 8 |
| 61.8 | 1.502 | 7 |


# 2
Calculated powder diffraction line list of Na2FeO3 for a wavelength of 1.5418 Å, from a GGA+U-relaxed structure.

Structure:
```
Na2FeO3
1.0
5.8939 0.0000 0.0000
0.0000 6.3199 0.0000
-2.5362 0.0000 5.3253
Na Fe O
4 2 6
Direct
0.0000 0.2498 0.0000
0.0000 0.7502 0.0000
0.4989 0.2499 0.5021
0.4989 0.7501 0.5021
0.5925 0.0000 0.0945
0.9060 0.5000 0.4073
0.1790 0.5000 0.3502
0.3202 0.0000 0.1531
0.6497 0.0000 0.8217
0.7496 0.2501 0.2506
0.7496 0.7499 0.2506
0.8483 0.5000 0.6799
```

Top 8 peaks for 2θ = 10–80°, sorted by position:
| 2theta | d_spacing | I (rel.) |
| --- | --- | --- |
| 16.7 | 5.323 | 51 |
| 21.8 | 4.071 | 100 |
| 30.4 | 2.939 | 14 |
| 33.6 | 2.668 | 25 |
| 36.0 | 2.493 | 17 |
| 36.6 | 2.453 | 18 |
| 40.4 | 2.230 | 30 |
| 46.4 | 1.958 | 14 |


# 3
Calculated powder diffraction line list of Li9Mn2Co5O16 for a wavelength of 1.5418 Å, from a GGA+U-relaxed structure.

Structure:
```
Li9Mn2Co5O16
1.0
5.8284 0.0000 0.0000
1.4571 6.4565 0.0000
1.4329 0.2007 7.6696
Li Mn Co O
9 2 5 16
Direct
0.0000 0.0000 0.0000
0.0629 0.1204 0.6354
0.1847 0.3635 0.8847
0.3112 0.6329 0.1154
0.4368 0.8766 0.3727
0.5632 0.1234 0.6273
0.6888 0.3671 0.8846
0.8153 0.6365 0.1153
0.9371 0.8796 0.3646
0.2501 0.5008 0.4990
0.7499 0.4992 0.5010
0.1256 0.2359 0.2397
0.3652 0.7578 0.7620
0.5000 0.0000 0.0000
0.6348 0.2422 0.2380
0.8744 0.7641 0.7603
0.0267 0.5540 0.3352
0.1048 0.6789 0.9185
0.1614 0.7895 0.5679
0.2206 0.9516 0.1896
0.2975 0.0493 0.8153
0.3414 0.2153 0.4257
0.4048 0.3052 0.0660
0.4733 0.4456 0.6635
0.5267 0.5544 0.3365
0.5952 0.6948 0.9340
0.6586 0.7847 0.5743
0.7025 0.9507 0.1847
0.7794 0.0484 0.8104
0.8386 0.2105 0.4321
0.8952 0.3211 0.0815
0.9733 0.4460 0.6648
```

Top 8 peaks for 2θ = 10–80°, sorted by position:
| 2theta | d_spacing | I (rel.) |
| --- | --- | --- |
| 18.2 | 4.876 | 100 |
| 35.9 | 2.501 | 14 |
| 36.1 | 2.491 | 25 |
| 43.4 | 2.086 | 27 |
| 43.5 | 2.082 | 27 |
| 43.6 | 2.076 | 27 |
| 47.5 | 1.913 | 9 |
| 62.7 | 1.481 | 15 |


# 4
Calculated powder diffraction line list of BaNdFe2O5 for a wavelength of 1.5418 Å, from a GGA+U-relaxed structure.

Structure:
```
BaNdFe2O5
1.0
4.0273 0.0000 0.0000
0.0000 7.8381 0.0000
0.0000 0.0000 8.0260
Ba Nd Fe O
2 2 4 10
Direct
0.0000 0.0000 0.0000
0.0000 0.0000 0.5000
0.0000 0.5004 0.0005
0.0000 0.4996 0.5005
0.5000 0.2560 0.2500
0.5000 0.2721 0.7504
0.5000 0.7279 0.2504
0.5000 0.7440 0.7500
0.0000 0.3075 0.2501
0.0000 0.3080 0.7503
0.0000 0.6920 0.2503
0.0000 0.6925 0.7501
0.5000 0.0122 0.2496
0.5000 0.3090 0.4935
0.5000 0.3099 0.0066
0.5000 0.6901 0.5066
0.5000 0.6910 0.9935
0.5000 0.9878 0.7496
```

Top 8 peaks for 2θ = 10–80°, sorted by position:
| 2theta | d_spacing | I (rel.) |
| --- | --- | --- |
| 22.1 | 4.020 | 17 |
| 31.5 | 2.843 | 43 |
| 31.9 | 2.806 | 100 |
| 39.1 | 2.301 | 20 |
| 45.0 | 2.014 | 15 |
| 56.2 | 1.636 | 20 |
| 56.4 | 1.633 | 19 |
| 57.1 | 1.613 | 20 |


# 5
Calculated powder diffraction line list of Li4Cr3NiO8 for a wavelength of 1.5418 Å, from a GGA+U-relaxed structure.

Structure:
```
Li4Cr3NiO8
1.0
5.1224 0.0000 0.0000
1.7071 5.6597 0.0000
2.5424 2.3100 10.0799
Li Cr Ni O
8 6 2 16
Direct
0.0010 0.4410 0.3745
0.0015 0.1909 0.8737
0.0043 0.6833 0.8748
0.0036 0.9330 0.3756
0.9964 0.0670 0.6244
0.9957 0.3167 0.1252
0.9985 0.8091 0.1263
0.9990 0.5590 0.6255
0.4986 0.8753 0.7500
0.5000 0.0000 0.0000
0.4997 0.2519 0.5006
0.5000 0.5000 0.0000
0.5003 0.7481 0.4994
0.5014 0.1247 0.2500
0.5004 0.3752 0.7496
0.4996 0.6248 0.2504
0.2708 0.5886 0.4381
0.2722 0.2093 0.6847
0.2722 0.8386 0.9365
0.2730 0.4592 0.1838
0.2730 0.7209 0.6844
0.2744 0.3374 0.9374
0.2744 0.9706 0.1834
0.2753 0.0884 0.4343
0.7247 0.9116 0.5657
0.7256 0.0294 0.8166
0.7256 0.6626 0.0626
0.7270 0.2791 0.3156
0.7270 0.5408 0.8162
0.7278 0.1614 0.0635
0.7278 0.7907 0.3153
0.7292 0.4114 0.5619
```

Top 8 peaks for 2θ = 10–80°, sorted by position:
| 2theta | d_spacing | I (rel.) |
| --- | --- | --- |
| 18.4 | 4.831 | 100 |
| 35.6 | 2.520 | 42 |
| 37.3 | 2.414 | 17 |
| 43.3 | 2.090 | 81 |
| 47.4 | 1.918 | 14 |
| 57.2 | 1.610 | 16 |
| 62.9 | 1.478 | 36 |
| 66.1 | 1.413 | 12 |


# 6
Calculated powder diffraction line list of TiV2Fe3P6O24 for a wavelength of 1.5418 Å, from a GGA+U-relaxed structure.

Structure:
```
TiV2Fe3P6O24
1.0
4.3302 2.5000 6.8956
-4.3302 2.5000 6.8956
0.0000 -5.0001 6.8956
Ti V Fe P O
1 2 3 6 24
Direct
0.0000 0.0000 0.0000
0.1464 0.1464 0.1464
0.6465 0.6465 0.6465
0.2921 0.2921 0.2921
0.4999 0.4999 0.4999
0.7912 0.7912 0.7912
0.0991 0.6916 0.3958
0.1919 0.5984 0.8951
0.3958 0.0991 0.6916
0.5984 0.8951 0.1919
0.6916 0.3958 0.0991
0.8951 0.1919 0.5984
0.0386 0.6421 0.8227
0.0531 0.2072 0.4020
0.0816 0.8922 0.2362
0.1385 0.7607 0.9673
0.1417 0.5384 0.3234
0.2072 0.4020 0.0531
0.2362 0.0816 0.8922
0.2551 0.6536 0.4629
0.3234 0.1417 0.5384
0.3902 0.5909 0.7392
0.4020 0.0531 0.2072
0.4629 0.2551 0.6536
0.5384 0.3234 0.1417
0.5524 0.8996 0.7083
0.5909 0.7392 0.3902
0.6421 0.8227 0.0386
0.6536 0.4629 0.2551
0.7083 0.5524 0.8996
0.7392 0.3902 0.5909
0.7607 0.9673 0.1385
0.8227 0.0386 0.6421
0.8922 0.2362 0.0816
0.8996 0.7083 0.5524
0.9673 0.1385 0.7607
```

Top 8 peaks for 2θ = 10–80°, sorted by position:
| 2theta | d_spacing | I (rel.) |
| --- | --- | --- |
| 20.5 | 4.330 | 72 |
| 24.3 | 3.667 | 100 |
| 33.2 | 2.697 | 66 |
| 35.9 | 2.500 | 35 |
| 47.6 | 1.910 | 25 |
| 49.7 | 1.834 | 26 |
| 56.2 | 1.637 | 21 |
| 62.9 | 1.479 | 19 |


# 7
Calculated powder diffraction line list of Sr7Mn4O15 for a wavelength of 1.5418 Å, from a GGA+U-relaxed structure.

Structure:
```
Sr7Mn4O15
1.0
6.8919 0.0000 0.0000
0.0000 9.7836 0.0000
-0.3146 0.0000 10.5673
Sr Mn O
14 8 30
Direct
0.0000 0.0000 0.0000
0.0000 0.5000 0.5000
0.1485 0.1493 0.3047
0.1485 0.3507 0.8047
0.3198 0.0041 0.6680
0.3198 0.4959 0.1680
0.4986 0.6858 0.4646
0.4986 0.8142 0.9646
0.5014 0.1858 0.0354
0.5014 0.3142 0.5354
0.6802 0.5041 0.8320
0.6802 0.9959 0.3320
0.8515 0.6493 0.1953
0.8515 0.8507 0.6953
0.0767 0.6673 0.9257
0.0767 0.8327 0.4257
0.2803 0.6688 0.7196
0.2803 0.8312 0.2196
0.7197 0.1688 0.7804
0.7197 0.3312 0.2804
0.9233 0.1673 0.5743
0.9233 0.3327 0.0743
0.0000 0.0000 0.5000
0.0000 0.5000 0.0000
0.0074 0.6015 0.7532
0.0074 0.8985 0.2532
0.1631 0.2464 0.5460
0.1631 0.2536 0.0460
0.1792 0.6744 0.3383
0.1792 0.8256 0.8383
0.1868 0.7189 0.0845
0.1868 0.7811 0.5845
0.3380 0.5187 0.6200
0.3380 0.9813 0.1200
0.3392 0.5826 0.8822
0.3392 0.9174 0.3822
0.4717 0.2462 0.7895
0.4717 0.2538 0.2895
0.5283 0.7462 0.7105
0.5283 0.7538 0.2105
0.6608 0.0826 0.6178
0.6608 0.4174 0.1178
0.6620 0.0187 0.8800
0.6620 0.4813 0.3800
0.8132 0.2189 0.4155
0.8132 0.2811 0.9155
0.8208 0.1744 0.1617
0.8208 0.3256 0.6617
0.8369 0.7464 0.9540
0.8369 0.7536 0.4540
0.9926 0.1015 0.7468
0.9926 0.3985 0.2468
```

Top 8 peaks for 2θ = 10–80°, sorted by position:
| 2theta | d_spacing | I (rel.) |
| --- | --- | --- |
| 26.9 | 3.314 | 32 |
| 27.8 | 3.210 | 29 |
| 28.5 | 3.130 | 26 |
| 31.4 | 2.847 | 49 |
| 31.6 | 2.830 | 100 |
| 35.2 | 2.550 | 26 |
| 42.6 | 2.120 | 24 |
| 43.5 | 2.079 | 25 |